# K4Ac3NiO8
Theoretical powder diffraction line list, λ = 1.5418 Å (Cu Kα). Input: a GGA+U-relaxed structure.
Intensities are scaled so that the largest is 100.

```
16
Lattice="6.759 -3.607 0.000 6.759 3.607 0.000 -3.716 0.000 6.438" Properties=species:S:1:pos:R:3 pbc="T T T"
K 0.000 0.000 0.000
K 3.380 1.803 0.000
K 3.380 -1.803 0.000
K 6.759 0.000 0.000
Ac -1.858 0.000 3.219
Ac 1.522 1.803 3.219
Ac 1.522 -1.803 3.219
Ni 4.902 0.000 3.219
O 1.948 0.000 1.618
O 0.312 0.000 4.482
O 3.948 1.455 4.230
O 5.855 1.455 2.208
O 3.948 -1.455 4.230
O 5.855 -1.455 2.208
O 9.491 0.000 1.956
O 7.855 0.000 4.820
```

Most intense lines, 2θ from 10° to 90°, low angle first:
Position (°2θ)  Rel. int.
13.8  100
26.4  19
27.7  38
28.7  28
29.1  58
29.2  28
30.5  41
34.7  61
45.9  24
47.9  23